This entry pairs a crystal structure of VSO4 with its computed X-ray diffraction stick pattern. Radiation: Cu Ka. Structure: a structure optimized by DFT (PBE+U).
Neutral-atom scattering factors, no anomalous dispersion.

Largest 8 diffraction maxima, sorted by position, 10 to 90 degrees two-theta:
| 2θ/deg | I/Imax |
| --- | --- |
| 20.66 | 33 |
| 23.80 | 42 |
| 24.44 | 100 |
| 32.96 | 52 |
| 33.45 | 34 |
| 35.29 | 47 |
| 36.64 | 19 |
| 50.10 | 30 |

Cell and atoms:
Cell: 8.9238 6.8522 4.9054 Å, 90.00 90.00 90.00°
Space group Pnma (No. 62)
Unique sites:
V1 0.0000 0.0000 0.0000 [4 per cell]
S1 0.1766 0.2500 0.4876 [4 per cell]
O1 0.1214 0.2500 0.7789 [4 per cell]
O2 0.1260 0.0701 0.3536 [8 per cell]
O3 0.1534 0.7500 0.9809 [4 per cell]

***

This entry pairs a crystal structure of V2S3O12 with its computed X-ray diffraction stick pattern. Radiation: Cu Ka. Structure: a structure optimized by DFT (PBE+U).
Neutral-atom scattering factors, no anomalous dispersion.

Largest 8 diffraction maxima, sorted by position, 10 to 90 degrees two-theta:
| 2θ/deg | I/Imax |
| --- | --- |
| 15.08 | 89 |
| 23.23 | 45 |
| 24.28 | 100 |
| 24.93 | 75 |
| 26.74 | 74 |
| 29.28 | 32 |
| 31.04 | 66 |
| 31.30 | 62 |

Cell and atoms:
Cell: 13.0274 8.2738 8.6691 Å, 90.00 114.21 90.00°
Space group C2/c (No. 15)
Unique sites:
V1 0.1262 0.2459 0.0200 [8 per cell]
S1 0.0000 0.4462 0.2500 [4 per cell]
S2 0.1426 0.1203 0.6680 [8 per cell]
O1 0.0200 0.1280 0.6180 [8 per cell]
O2 0.0631 0.3440 0.1801 [8 per cell]
O3 0.0824 0.4519 0.8856 [8 per cell]
O4 0.1763 0.0532 0.1694 [8 per cell]
O5 0.1846 0.2241 0.5762 [8 per cell]
O6 0.1992 0.1673 0.8620 [8 per cell]

***

This entry pairs a crystal structure of V2S2O11 with its computed X-ray diffraction stick pattern. Radiation: Cu Ka. Structure: a structure optimized by DFT (PBE+U).
Neutral-atom scattering factors, no anomalous dispersion.

Largest 8 diffraction maxima, sorted by position, 10 to 90 degrees two-theta:
| 2θ/deg | I/Imax |
| --- | --- |
| 13.58 | 100 |
| 20.67 | 32 |
| 21.52 | 18 |
| 23.24 | 11 |
| 24.67 | 42 |
| 27.36 | 12 |
| 30.11 | 23 |
| 34.80 | 13 |

Cell and atoms:
Cell: 10.1040 9.1163 9.6730 Å, 90.00 105.41 90.00°
Space group P2_1/c (No. 14)
Unique sites:
V1 0.1675 0.1294 0.3571 [4 per cell]
V2 0.3228 0.6266 0.1202 [4 per cell]
S1 0.0268 0.7146 0.9278 [4 per cell]
S2 0.3961 0.5736 0.7886 [4 per cell]
O1 0.0053 0.5732 0.8560 [4 per cell]
O2 0.0245 0.1598 0.1720 [4 per cell]
O3 0.0409 0.2278 0.4524 [4 per cell]
O4 0.1766 0.7464 0.9914 [4 per cell]
O5 0.2523 0.5112 0.7467 [4 per cell]
O6 0.2576 0.6070 0.2523 [4 per cell]
O7 0.2587 0.0373 0.5195 [4 per cell]
O8 0.2643 0.2326 0.8553 [4 per cell]
O9 0.4073 0.6743 0.6700 [4 per cell]
O10 0.4270 0.6482 0.9266 [4 per cell]
O11 0.4916 0.0508 0.2859 [4 per cell]